The following is a computed X-ray powder pattern of KSb4Au2. It was derived from a structure optimized by DFT (GGA-PBE), using Cu Kα (weighted mean of Kα1 and Kα2).

Structure:
```
data_KSb4Au2
_chemical_formula_sum 'K2 Sb8 Au4'
_cell_length_a 6.4734
_cell_length_b 11.7290
_cell_length_c 5.9587
_cell_angle_alpha 90.00
_cell_angle_beta 90.00
_cell_angle_gamma 90.00
_space_group_name_H-M_alt 'P n n m'
_space_group_IT_number 58
_space_group_name_Hall '-P 2 2n'
loop_
_atom_site_label
_atom_site_type_symbol
_atom_site_fract_x
_atom_site_fract_y
_atom_site_fract_z
_atom_site_occupancy
K1 K 0.0000 0.0000 0.0000 1
Sb1 Sb 0.1382 0.2427 0.5000 1
Sb2 Sb 0.1923 0.3014 0.0000 1
Au1 Au 0.2251 0.5289 0.0000 1
```

Principal peaks in the range 2θ = 10–90°, in order of rising 2θ:
index	2θ/deg	d (Å)	Rel. int.
0 1 1	16.69	5.312	1000
2 0 0	27.56	3.237	255
2 1 0	28.61	3.120	206
0 0 2	29.99	2.979	567
0 4 0	30.49	2.932	264
2 1 1	32.39	2.764	484
1 4 0	33.55	2.671	196
2 0 2	41.18	2.192	178
0 4 2	43.29	2.090	202
1 5 1	43.77	2.068	238
1 4 2	45.61	1.989	167
2 5 1	50.44	1.809	155



The following is a computed X-ray powder pattern of CaPm6Ho. It was derived from a structure optimized by DFT (GGA-PBE), using Cu Kα (weighted mean of Kα1 and Kα2).

Structure:
```
data_CaPm6Ho
_chemical_formula_sum 'Ca1 Pm6 Ho1'
_cell_length_a 5.1637
_cell_length_b 5.1637
_cell_length_c 10.3464
_cell_angle_alpha 90.00
_cell_angle_beta 90.00
_cell_angle_gamma 90.00
_space_group_name_H-M_alt 'P 4/m m m'
_space_group_IT_number 123
_space_group_name_Hall '-P 4 2'
loop_
_atom_site_label
_atom_site_type_symbol
_atom_site_fract_x
_atom_site_fract_y
_atom_site_fract_z
_atom_site_occupancy
Ca1 Ca 0.0000 0.0000 0.0000 1
Pm1 Pm 0.0000 0.5000 0.2573 1
Pm2 Pm 0.5000 0.5000 0.0000 1
Pm3 Pm 0.5000 0.5000 0.5000 1
Ho1 Ho 0.0000 0.0000 0.5000 1
```

Principal peaks in the range 2θ = 10–90°, in order of rising 2θ:
index	2θ/deg	d (Å)	Rel. int.
1 0 0	17.16	5.167	18
1 0 1	19.21	4.620	35
1 1 2	29.95	2.983	1000
2 0 0	34.72	2.583	506
1 1 3	35.83	2.506	33
2 2 0	49.92	1.827	359
3 1 2	59.32	1.558	425
2 2 4	62.24	1.492	122
4 0 0	73.34	1.291	38
3 3 2	81.14	1.185	171
2 0 8	83.62	1.156	51
4 2 0	83.76	1.155	108



The following is a computed X-ray powder pattern of Na5CdCl8. It was derived from a structure optimized by DFT (GGA-PBE), using Cu Kα (weighted mean of Kα1 and Kα2).

Structure:
```
data_Na5CdCl8
_chemical_formula_sum 'Na20 Cd4 Cl32'
_cell_length_a 11.5429
_cell_length_b 11.5429
_cell_length_c 11.5429
_cell_angle_alpha 90.00
_cell_angle_beta 90.00
_cell_angle_gamma 90.00
_space_group_name_H-M_alt 'F -4 3 m'
_space_group_IT_number 216
_space_group_name_Hall 'F -4 2 3'
loop_
_atom_site_label
_atom_site_type_symbol
_atom_site_fract_x
_atom_site_fract_y
_atom_site_fract_z
_atom_site_occupancy
Na1 Na 0.0000 0.0000 0.0000 1
Na2 Na 0.1266 0.1266 0.6266 1
Cd1 Cd 0.2500 0.2500 0.2500 1
Cl1 Cl 0.1234 0.1234 0.3766 1
Cl2 Cl 0.1335 0.1335 0.8665 1
```

Principal peaks in the range 2θ = 10–90°, in order of rising 2θ:
index	2θ/deg	d (Å)	Rel. int.
1 1 1	13.29	6.664	267
2 0 0	15.35	5.771	330
2 2 0	21.78	4.081	532
3 1 1	25.60	3.480	869
2 2 2	26.75	3.332	498
4 0 0	30.99	2.886	332
3 3 1	33.85	2.648	167
4 2 2	38.20	2.356	238
5 1 1	40.61	2.221	425
4 4 0	44.40	2.041	1000
5 5 3	61.73	1.503	181
8 4 4	81.75	1.178	275



The following is a computed X-ray powder pattern of Dy2ZrMnS6. It was derived from a structure optimized by DFT (GGA-PBE), using Cu Kα (weighted mean of Kα1 and Kα2).

Structure:
```
data_Dy2ZrMnS6
_chemical_formula_sum 'Dy6 Zr3 Mn3 S18'
_cell_length_a 6.6757
_cell_length_b 6.6757
_cell_length_c 17.8906
_cell_angle_alpha 90.00
_cell_angle_beta 90.00
_cell_angle_gamma 120.00
_space_group_name_H-M_alt 'R 3'
_space_group_IT_number 146
_space_group_name_Hall 'R 3'
loop_
_atom_site_label
_atom_site_type_symbol
_atom_site_fract_x
_atom_site_fract_y
_atom_site_fract_z
_atom_site_occupancy
Dy1 Dy 0.0000 0.0000 0.0000 1
Dy2 Dy 0.0000 0.0000 0.4976 1
Zr1 Zr 0.0000 0.0000 0.6971 1
Mn1 Mn 0.0000 0.0000 0.2019 1
S1 S 0.0426 0.3501 0.2694 1
S2 S 0.0470 0.7013 0.7710 1
```

Principal peaks in the range 2θ = 10–90°, in order of rising 2θ:
index	2θ/deg	d (Å)	Rel. int.
0 1 2	18.27	4.856	727
1 0 4	25.17	3.538	1000
1 1 0	26.71	3.338	856
1 1 3	30.70	2.913	249
2 0 2	32.55	2.751	203
0 2 4	37.03	2.428	479
2 -1 6	40.57	2.224	913
2 1 4	46.24	1.963	452
3 0 0	47.16	1.927	507
1 0 10	53.63	1.709	259
2 2 6	63.92	1.456	213
4 1 6	83.14	1.162	200